No. 1
The following is a computed powder XRD pattern of Rb2SiNiS4. It was derived from the GGA-PBE geometry in Alexandria, using Cu Kα (weighted mean of Kα1 and Kα2).
Kinematic intensities with the Lorentz-polarization factor, no thermal factor.

Main lines, sorted by position (10 to 90 degrees two-theta):
| Position (°2θ) | I (rel.) |
| --- | --- |
| 15.05 | 37.3 |
| 25.54 | 45.7 |
| 26.39 | 97.6 |
| 27.73 | 89.1 |
| 31.70 | 100.0 |
| 33.47 | 41.8 |
| 38.35 | 60.5 |
| 47.22 | 33.8 |
| 47.48 | 35.9 |
| 51.86 | 38.7 |

Atomic structure:
```
Rb2SiNiS4
1.0
0.0000 6.6265 11.7754
2.9272 0.0000 11.7754
2.9272 6.6265 0.0000
Rb Si Ni S
4 2 2 8
direct
0.0532 0.0532 0.6968
0.3032 0.3032 0.9468
0.6968 0.6968 0.0532
0.9468 0.9468 0.3032
0.3750 0.3750 0.3750
0.6250 0.6250 0.6250
0.1250 0.1250 0.1250
0.8750 0.8750 0.8750
0.0058 0.6460 0.5662
0.2820 0.5662 0.6460
0.3540 0.9942 0.7180
0.4338 0.7180 0.9942
0.5662 0.2820 0.0058
0.6460 0.0058 0.2820
0.7180 0.4338 0.3540
0.9942 0.3540 0.4338
```


No. 2
The following is a computed powder XRD pattern of Rb2TaNi2S4. It was derived from the GGA-PBE geometry in Alexandria, using Cu Kα (weighted mean of Kα1 and Kα2).
Kinematic intensities with the Lorentz-polarization factor, no thermal factor.

Main lines, sorted by position (10 to 90 degrees two-theta):
| Position (°2θ) | I (rel.) |
| --- | --- |
| 11.79 | 100.0 |
| 23.72 | 73.5 |
| 25.55 | 27.3 |
| 32.34 | 58.2 |
| 33.71 | 71.2 |
| 36.59 | 65.1 |
| 36.62 | 32.9 |
| 42.07 | 29.7 |
| 44.09 | 33.5 |
| 53.70 | 51.8 |

Atomic structure:
```
Rb2TaNi2S4
1.0
6.7234 -1.8109 0.0000
6.7234 1.8109 0.0000
-2.2314 0.0000 7.5068
Rb Ta Ni S
2 1 2 4
direct
0.1374 0.1374 0.0611
0.8626 0.8626 0.9389
0.0000 0.0000 0.5000
0.3297 0.3297 0.5144
0.6703 0.6703 0.4856
0.1935 0.1935 0.6571
0.4842 0.4842 0.7184
0.5158 0.5158 0.2816
0.8065 0.8065 0.3429
```